Structure and computed X-ray powder pattern of NaU2Cl6 (a crystal structure in Alexandria, relaxed with GGA-PBE; Cu Kα, 1.54184 Å).

Structural model:
Cell lengths 7.8631, 7.8631, 3.9707 Å; angles 90.00, 90.00, 120.00 degrees
Sites, in units of the cell vectors:
Na  0.0000  0.0000  0.0000
U  0.3333  0.6667  0.7420
U  0.6667  0.3333  0.2580
Cl  0.0788  0.6974  0.2478
Cl  0.3026  0.3814  0.2478
Cl  0.3814  0.0788  0.7522
Cl  0.6186  0.9212  0.2478
Cl  0.6974  0.6186  0.7522
Cl  0.9212  0.3026  0.7522

Top 6 peaks for 2θ = 15–90°, low angle first:
Position (°2θ)  d (Å)  I_rel
22.62  3.932  90
25.98  3.430  100
34.71  2.585  97
39.71  2.270  50
41.83  2.160  91
64.05  1.454  35

Structure and computed X-ray powder pattern of NaV2Cl8 (a crystal structure in Alexandria, relaxed with GGA-PBE; Cu Kα, 1.54184 Å).

Structural model:
Cell lengths 7.5711, 7.5711, 7.0329 Å; angles 90.00, 90.00, 120.00 degrees
Sites, in units of the cell vectors:
Na  0.0000  0.0000  0.0000
V  0.3333  0.6667  0.8366
V  0.6667  0.3333  0.1634
Cl  0.1746  0.3491  0.7364
Cl  0.1746  0.8254  0.7364
Cl  0.3333  0.6667  0.1438
Cl  0.3491  0.1746  0.2636
Cl  0.6509  0.8254  0.7364
Cl  0.6667  0.3333  0.8562
Cl  0.8254  0.1746  0.2636
Cl  0.8254  0.6509  0.2636

Top 6 peaks for 2θ = 15–90°, low angle first:
Position (°2θ)  d (Å)  I_rel
18.50  4.796  100
25.33  3.516  50
26.74  3.333  65
27.20  3.278  55
30.07  2.971  74
48.07  1.893  55

Structure and computed X-ray powder pattern of NaVCl3 (a crystal structure in Alexandria, relaxed with GGA-PBE; Cu Kα, 1.54184 Å).

Structural model:
Cell lengths 8.6226, 8.6226, 6.5467 Å; angles 97.42, 97.42, 80.48 degrees
Sites, in units of the cell vectors:
Na  0.1086  0.8914  0.7500
Na  0.2934  0.7066  0.2500
Na  0.7066  0.2934  0.7500
Na  0.8914  0.1086  0.2500
V  0.1625  0.3262  0.9970
V  0.3262  0.1625  0.4970
V  0.6738  0.8375  0.5030
V  0.8375  0.6738  0.0030
Cl  0.0600  0.2018  0.6399
Cl  0.1116  0.6048  0.8991
Cl  0.2018  0.0600  0.1399
Cl  0.2741  0.4160  0.3490
Cl  0.3952  0.8884  0.6009
Cl  0.4160  0.2741  0.8490
Cl  0.5840  0.7259  0.1510
Cl  0.6048  0.1116  0.3991
Cl  0.7259  0.5840  0.6510
Cl  0.7982  0.9400  0.8601
Cl  0.8884  0.3952  0.1009
Cl  0.9400  0.7982  0.3601

Top 6 peaks for 2θ = 15–90°, low angle first:
Position (°2θ)  d (Å)  I_rel
16.34  5.425  33
21.03  4.224  19
33.04  2.711  53
33.27  2.693  100
46.79  1.942  28
48.38  1.881  30

Structure and computed X-ray powder pattern of NaVZnCl6 (a crystal structure in Alexandria, relaxed with GGA-PBE; Cu Kα, 1.54184 Å).

Structural model:
Cell lengths 6.3192, 6.3192, 12.4522 Å; angles 90.00, 90.00, 120.00 degrees
Sites, in units of the cell vectors:
Na  0.0000  0.0000  0.0000
Na  0.0000  0.0000  0.5000
V  0.3333  0.6667  0.2500
V  0.6667  0.3333  0.7500
Zn  0.3333  0.6667  0.7500
Zn  0.6667  0.3333  0.2500
Cl  0.0111  0.3697  0.1400
Cl  0.0111  0.6415  0.3600
Cl  0.3585  0.3697  0.3600
Cl  0.3585  0.9889  0.1400
Cl  0.3697  0.0111  0.6400
Cl  0.3697  0.3585  0.8600
Cl  0.6303  0.6415  0.1400
Cl  0.6303  0.9889  0.3600
Cl  0.6415  0.0111  0.8600
Cl  0.6415  0.6303  0.6400
Cl  0.9889  0.3585  0.6400
Cl  0.9889  0.6303  0.8600

Top 6 peaks for 2θ = 15–90°, low angle first:
Position (°2θ)  d (Å)  I_rel
16.20  5.473  26
21.62  4.110  59
31.76  2.818  100
40.69  2.218  82
50.00  1.824  37
52.77  1.735  25

Structure and computed X-ray powder pattern of NaYCl (a crystal structure in Alexandria, relaxed with GGA-PBE; Cu Kα, 1.54184 Å).

Structural model:
Cell lengths 3.6462, 3.6462, 28.2419 Å; angles 90.00, 90.00, 120.00 degrees
Sites, in units of the cell vectors:
Na  0.3333  0.6667  0.3130
Na  0.3333  0.6667  0.4411
Na  0.6667  0.3333  0.5589
Na  0.6667  0.3333  0.6870
Y  0.3333  0.6667  0.7987
Y  0.3333  0.6667  0.9515
Y  0.6667  0.3333  0.0485
Y  0.6667  0.3333  0.2013
Cl  0.3333  0.6667  0.1272
Cl  0.3333  0.6667  0.6211
Cl  0.6667  0.3333  0.3789
Cl  0.6667  0.3333  0.8728

Top 6 peaks for 2θ = 15–90°, low angle first:
Position (°2θ)  d (Å)  I_rel
28.26  3.158  32
28.44  3.138  18
34.19  2.622  100
38.24  2.354  15
50.03  1.823  24
62.00  1.497  16

Structure and computed X-ray powder pattern of NaZn2Cl2 (a crystal structure in Alexandria, relaxed with GGA-PBE; Cu Kα, 1.54184 Å).

Structural model:
Cell lengths 3.5910, 3.5910, 16.6551 Å; angles 90.00, 90.00, 90.00 degrees
Sites, in units of the cell vectors:
Na  0.0000  0.0000  0.0000
Na  0.5000  0.5000  0.5000
Zn  0.0000  0.5000  0.2500
Zn  0.0000  0.5000  0.7500
Zn  0.5000  0.0000  0.2500
Zn  0.5000  0.0000  0.7500
Cl  0.0000  0.0000  0.4000
Cl  0.0000  0.0000  0.6000
Cl  0.5000  0.5000  0.1000
Cl  0.5000  0.5000  0.9000

Top 6 peaks for 2θ = 15–90°, low angle first:
Position (°2θ)  d (Å)  I_rel
21.34  4.164  32
32.25  2.776  32
36.80  2.442  25
37.01  2.429  100
41.66  2.168  60
50.85  1.796  30

Structure and computed X-ray powder pattern of Na3ZrCl7 (a crystal structure in Alexandria, relaxed with GGA-PBE; Cu Kα, 1.54184 Å).

Structural model:
Cell lengths 6.8374, 6.8374, 7.1491 Å; angles 109.05, 109.05, 97.24 degrees
Sites, in units of the cell vectors:
Na  0.0000  0.0000  0.0000
Na  0.2193  0.6904  0.3959
Na  0.6904  0.2193  0.3959
Zr  0.5179  0.5179  0.9351
Cl  0.1471  0.4562  0.6443
Cl  0.3460  0.3460  0.1267
Cl  0.3571  0.8250  0.1024
Cl  0.4562  0.1471  0.6443
Cl  0.6588  0.6588  0.7063
Cl  0.8250  0.3571  0.1024
Cl  0.8429  0.8429  0.2498

Top 6 peaks for 2θ = 15–90°, low angle first:
Position (°2θ)  d (Å)  I_rel
15.69  5.648  92
22.47  3.957  68
26.35  3.383  80
34.47  2.602  51
36.96  2.432  100
41.81  2.161  54

Structure and computed X-ray powder pattern of Nb3Cl7 (a crystal structure in Alexandria, relaxed with GGA-PBE; Cu Kα, 1.54184 Å).

Structural model:
Cell lengths 9.7325, 9.7325, 11.4145 Å; angles 90.00, 90.00, 91.37 degrees
Sites, in units of the cell vectors:
Nb  0.0575  0.1618  0.8868
Nb  0.1238  0.8762  0.9147
Nb  0.1618  0.0575  0.1132
Nb  0.3382  0.4425  0.6132
Nb  0.3762  0.6238  0.4147
Nb  0.4425  0.3382  0.3868
Nb  0.5575  0.6618  0.6132
Nb  0.6238  0.3762  0.5853
Nb  0.6618  0.5575  0.3868
Nb  0.8382  0.9425  0.8868
Nb  0.8762  0.1238  0.0853
Nb  0.9425  0.8382  0.1132
Cl  0.0298  0.2176  0.2373
Cl  0.0903  0.6605  0.0235
Cl  0.1227  0.8773  0.2652
Cl  0.1265  0.3735  0.7500
Cl  0.1605  0.5903  0.5235
Cl  0.2176  0.0298  0.7627
Cl  0.2458  0.2458  0.5000
Cl  0.2542  0.2542  0.0000
Cl  0.2824  0.4702  0.2627
Cl  0.3395  0.9097  0.0235
Cl  0.3735  0.1265  0.2500
Cl  0.3773  0.6227  0.7652
Cl  0.4097  0.8395  0.5235
Cl  0.4702  0.2824  0.7373
Cl  0.5298  0.7176  0.2627
Cl  0.5903  0.1605  0.4765
Cl  0.6227  0.3773  0.2348
Cl  0.6265  0.8735  0.7500
Cl  0.6605  0.0903  0.9765
Cl  0.7176  0.5298  0.7373
Cl  0.7458  0.7458  0.0000
Cl  0.7542  0.7542  0.5000
Cl  0.7824  0.9702  0.2373
Cl  0.8395  0.4097  0.4765
Cl  0.8735  0.6265  0.2500
Cl  0.8773  0.1227  0.7348
Cl  0.9097  0.3395  0.9765
Cl  0.9702  0.7824  0.7627

Top 6 peaks for 2θ = 15–90°, low angle first:
Position (°2θ)  d (Å)  I_rel
25.90  3.440  24
36.49  2.462  43
37.77  2.382  100
40.60  2.222  23
41.61  2.170  25
45.79  1.982  23

Structure and computed X-ray powder pattern of NbNiCl2 (a crystal structure in Alexandria, relaxed with GGA-PBE; Cu Kα, 1.54184 Å).

Structural model:
Cell lengths 6.1994, 6.1994, 6.1994 Å; angles 90.00, 90.00, 90.00 degrees
Sites, in units of the cell vectors:
Nb  0.0000  0.0000  0.0000
Nb  0.0000  0.5000  0.5000
Nb  0.5000  0.0000  0.5000
Nb  0.5000  0.5000  0.0000
Ni  0.0000  0.0000  0.5000
Ni  0.0000  0.5000  0.0000
Ni  0.5000  0.0000  0.0000
Ni  0.5000  0.5000  0.5000
Cl  0.2500  0.2500  0.2500
Cl  0.2500  0.2500  0.7500
Cl  0.2500  0.7500  0.2500
Cl  0.2500  0.7500  0.7500
Cl  0.7500  0.2500  0.2500
Cl  0.7500  0.2500  0.7500
Cl  0.7500  0.7500  0.2500
Cl  0.7500  0.7500  0.7500

Top 6 peaks for 2θ = 15–90°, low angle first:
Position (°2θ)  d (Å)  I_rel
28.80  3.100  20
41.19  2.192  100
59.66  1.550  16
67.58  1.386  7
75.06  1.265  30
89.41  1.096  10